Diffraction record for Mn8O17. The powder XRD pattern is simulated, not measured: it uses a crystal structure in Alexandria, relaxed with GGA+U and CuKα.
Intensities are scaled so that the largest is 100.

Principal peaks in the range 15 to 90 degrees two-theta, sorted by position:
hkl  Position (°2θ)  d (Å)  I/Imax
0 1 -1  17.85  4.968  100.0
0 2 -1  28.40  3.142  80.0
0 2 2  36.16  2.484  27.2
2 2 1  36.72  2.448  86.4
2 2 2  41.11  2.196  25.3
2 -2 2  48.91  1.862  41.6
2 2 4  59.12  1.563  35.5
2 4 -1  59.24  1.560  15.4
2 0 5  68.33  1.373  12.8
2 5 1  68.47  1.370  17.3

Crystal structure
```
data_Mn8O17
_symmetry_space_group_name_H-M 'P -1'
_symmetry_Int_Tables_number 2
_symmetry_space_group_name_Hall '-P 1'
_cell_length_a 5.8651
_cell_length_b 7.1682
_cell_length_c 7.1874
_cell_angle_alpha 87.49
_cell_angle_beta 78.23
_cell_angle_gamma 78.20
loop_
_atom_site_label
_atom_site_type_symbol
_atom_site_fract_x
_atom_site_fract_y
_atom_site_fract_z
Mn1 Mn 0.0755 0.0153 0.1820
Mn2 Mn 0.1670 0.3174 0.5144
Mn3 Mn 0.3332 0.6824 0.4850
Mn4 Mn 0.4244 0.9840 0.8179
O1 O 0.0216 0.7925 0.6225
O2 O 0.1467 0.5492 0.3612
O3 O 0.1674 0.1224 0.7083
O4 O 0.1715 0.8604 0.9521
O5 O 0.3279 0.1394 0.0478
O6 O 0.3327 0.8776 0.2915
O7 O 0.3519 0.4510 0.6385
O8 O 0.4790 0.2058 0.3793
O9 O 0.5000 0.5000 0.0000
```